No. 1
Starting from a crystal structure in the Materials Project, relaxed with PBE, the powder diffraction line list of DyP2O2 was computed for CuKα.
Neutral-atom scattering factors, no anomalous dispersion.

Main lines, in order of rising 2θ (2θ = 15–90°):
- hkl 2 1 1, 2θ = 23.6°, I = 43
- hkl 2 2 0, 2θ = 26.3°, I = 100
- hkl 2 0 2, 2θ = 29.2°, I = 48
- hkl 1 0 3, 2θ = 35.2°, I = 16
- hkl 3 2 1, 2θ = 35.6°, I = 13
- hkl 4 0 0, 2θ = 37.5°, I = 34
- hkl 2 1 3, 2θ = 40.1°, I = 34
- hkl 3 0 3, 2θ = 44.5°, I = 16
- hkl 4 2 2, 2θ = 48.2°, I = 38
- hkl 4 3 3, 2θ = 59.5°, I = 14

Crystal structure
abc: 9.6021 9.6021 7.9295
angles: 90.00 90.00 90.00
Space group I4_1/amd (No. 141, origin choice 2)
One atom of each set of equivalent atoms:
Dy  0.0000  0.0000  0.0000 (multiplicity 8)
P  0.0000  0.0380  0.6377 (multiplicity 16)
O  0.0000  0.0996  0.2527 (multiplicity 16)



No. 2
Starting from a crystal structure in the Materials Project, relaxed with PBE, the powder diffraction line list of PrAg2Ge2 was computed for CuKα.
Neutral-atom scattering factors, no anomalous dispersion.

Main lines, in order of rising 2θ (2θ = 15–90°):
- hkl 1 0 3, 2θ = 31.7°, I = 34
- hkl 1 1 2, 2θ = 33.3°, I = 100
- hkl 2 0 0, 2θ = 41.6°, I = 46
- hkl 1 1 4, 2θ = 43.9°, I = 15
- hkl 1 0 5, 2θ = 45.7°, I = 21
- hkl 2 1 3, 2θ = 53.3°, I = 16
- hkl 2 2 0, 2θ = 60.4°, I = 15
- hkl 2 1 5, 2θ = 63.5°, I = 16
- hkl 3 1 2, 2θ = 70.7°, I = 21
- hkl 2 0 8, 2θ = 82.1°, I = 11

Crystal structure
abc: 4.3374 4.3374 11.1615
angles: 90.00 90.00 90.00
Space group I4/mmm (No. 139)
One atom of each set of equivalent atoms:
Pr  0.0000  0.0000  0.0000 (multiplicity 2)
Ag  0.0000  0.5000  0.2500 (multiplicity 4)
Ge  0.0000  0.0000  0.3894 (multiplicity 4)



No. 3
Starting from a crystal structure in the Materials Project, relaxed with PBE, the powder diffraction line list of Li2SnB2O6 was computed for CuKα.
Neutral-atom scattering factors, no anomalous dispersion.

Main lines, in order of rising 2θ (2θ = 15–90°):
- hkl 1 0 -1, 2θ = 18.6°, I = 71
- hkl 0 1 2, 2θ = 19.6°, I = 100
- hkl 0 2 0, 2θ = 19.8°, I = 34
- hkl 1 1 1, 2θ = 21.8°, I = 34
- hkl 1 2 0, 2θ = 26.2°, I = 16
- hkl 1 2 -1, 2θ = 27.3°, I = 15
- hkl 0 0 4, 2θ = 34.3°, I = 36
- hkl 1 3 0, 2θ = 34.5°, I = 24
- hkl 2 1 0, 2θ = 35.9°, I = 18
- hkl 3 1 -1, 2θ = 54.0°, I = 15

Crystal structure
abc: 5.2236 8.9813 10.4852
angles: 90.00 93.18 90.00
Space group P2_1 (No. 4)
One atom of each set of equivalent atoms:
Li  0.0536  0.0000  0.1100 (multiplicity 2)
Li  0.0549  0.6849  0.6511 (multiplicity 2)
Li  0.3881  0.6154  0.4326 (multiplicity 2)
Li  0.4215  0.6410  0.8384 (multiplicity 2)
Sn  0.1162  0.3513  0.6220 (multiplicity 2)
Sn  0.4044  0.9870  0.8764 (multiplicity 2)
B  0.0783  0.3255  0.1342 (multiplicity 2)
B  0.1046  0.0076  0.6184 (multiplicity 2)
B  0.4197  0.3278  0.8801 (multiplicity 2)
B  0.4263  0.9562  0.3715 (multiplicity 2)
O  0.0127  0.3783  0.4276 (multiplicity 2)
O  0.0245  0.6410  0.4050 (multiplicity 2)
O  0.0236  0.9646  0.9043 (multiplicity 2)
O  0.0705  0.7078  0.8378 (multiplicity 2)
O  0.1760  0.9998  0.3471 (multiplicity 2)
O  0.1783  0.3457  0.8190 (multiplicity 2)
O  0.3462  0.0054  0.6805 (multiplicity 2)
O  0.3481  0.3149  0.1441 (multiplicity 2)
O  0.3679  0.5547  0.6303 (multiplicity 2)
O  0.4494  0.9577  0.0777 (multiplicity 2)
O  0.4622  0.6932  0.0954 (multiplicity 2)
O  0.4959  0.8099  0.3978 (multiplicity 2)



No. 4
Starting from a crystal structure in the Materials Project, relaxed with PBE, the powder diffraction line list of Nd2UTe4 was computed for CuKα.
Neutral-atom scattering factors, no anomalous dispersion.

Main lines, in order of rising 2θ (2θ = 15–90°):
- hkl 2 1 1, 2θ = 23.0°, I = 23
- hkl 3 0 1, 2θ = 29.8°, I = 100
- hkl 1 0 3, 2θ = 29.9°, I = 54
- hkl 3 1 2, 2θ = 35.4°, I = 83
- hkl 2 1 3, 2θ = 35.5°, I = 30
- hkl 4 2 0, 2θ = 42.6°, I = 19
- hkl 3 3 2, 2θ = 44.9°, I = 22
- hkl 4 3 1, 2θ = 49.0°, I = 20
- hkl 6 1 1, 2θ = 60.1°, I = 31
- hkl 5 5 2, 2θ = 73.3°, I = 18

Crystal structure
abc: 9.4904 9.4904 9.4452
angles: 90.00 90.00 90.00
Space group I-42d (No. 122)
One atom of each set of equivalent atoms:
Nd  0.1254  0.7500  0.1250 (multiplicity 8)
U  0.0000  0.0000  0.5000 (multiplicity 4)
Te  0.0755  0.6751  0.4544 (multiplicity 16)



No. 5
Starting from a crystal structure in the Materials Project, relaxed with PBE, the powder diffraction line list of Pd2N was computed for CuKα.
Neutral-atom scattering factors, no anomalous dispersion.

Main lines, in order of rising 2θ (2θ = 15–90°):
- hkl 0 2 0, 2θ = 32.8°, I = 21
- hkl 2 0 0, 2θ = 36.9°, I = 30
- hkl 1 2 0, 2θ = 37.8°, I = 32
- hkl 1 1 1, 2θ = 39.4°, I = 100
- hkl 2 2 0, 2θ = 50.2°, I = 16
- hkl 2 1 1, 2θ = 51.5°, I = 10
- hkl 0 3 1, 2θ = 59.7°, I = 17
- hkl 3 1 1, 2θ = 68.1°, I = 17
- hkl 1 4 0, 2θ = 71.8°, I = 10
- hkl 2 3 1, 2θ = 72.3°, I = 14

Crystal structure
abc: 4.8726 5.4625 2.9424
angles: 90.00 90.00 90.00
Space group Pnnm (No. 58)
One atom of each set of equivalent atoms:
Pd  0.2326  0.1884  0.0000 (multiplicity 4)
N  0.0000  0.5000  0.0000 (multiplicity 2)



No. 6
Starting from a crystal structure in the Materials Project, relaxed with PBE, the powder diffraction line list of KEuZrGeO6 was computed for CuKα.
Neutral-atom scattering factors, no anomalous dispersion.

Main lines, in order of rising 2θ (2θ = 15–90°):
- hkl 1 1 1, 2θ = 19.1°, I = 25
- hkl 2 2 0, 2θ = 31.5°, I = 100
- hkl 3 1 1, 2θ = 37.1°, I = 16
- hkl 4 0 0, 2θ = 45.1°, I = 34
- hkl 3 3 1, 2θ = 49.4°, I = 7
- hkl 4 2 2, 2θ = 56.1°, I = 38
- hkl 3 3 3, 2θ = 59.8°, I = 5
- hkl 4 4 0, 2θ = 65.7°, I = 20
- hkl 6 2 0, 2θ = 74.7°, I = 17
- hkl 4 4 4, 2θ = 83.3°, I = 7

Crystal structure
abc: 8.0342 8.0342 8.0342
angles: 90.00 90.00 90.00
Space group F-43m (No. 216)
One atom of each set of equivalent atoms:
K  0.0000  0.0000  0.0000 (multiplicity 4)
Eu  0.0000  0.0000  0.5000 (multiplicity 4)
Zr  0.2500  0.2500  0.7500 (multiplicity 4)
Ge  0.2500  0.2500  0.2500 (multiplicity 4)
O  0.0116  0.2500  0.2500 (multiplicity 24)